No. 1
Diffraction record for Bi4Pd2Pt. The XRD peak list is theoretical, not measured: it uses a cell relaxed with GGA-PBE and a wavelength of 1.5418 Å.
No peak broadening, texture or thermal motion is included.

Atomic structure:
```
data_Bi4Pd2Pt
_space_group_name_H-M_alt 'R -3 m'
_space_group_IT_number 166
_space_group_name_Hall '-R 3 2"'
_cell_length_a 4.5782
_cell_length_b 4.5782
_cell_length_c 28.7441
_cell_angle_alpha 90.00
_cell_angle_beta 90.00
_cell_angle_gamma 120.00
loop_
_atom_site_label
_atom_site_fract_x
_atom_site_fract_y
_atom_site_fract_z
Bi1 0.0000 0.0000 0.1231
Bi2 0.0000 0.0000 0.2980
Pd1 0.0000 0.0000 0.4025
Pt1 0.0000 0.0000 0.5000
```

Most intense lines, 2θ from 10° to 90°, low angle first:
Position (°2θ)  Rel. int.
25.66  117
27.32  815
31.36  323
38.69  514
39.36  1000
41.38  288
48.58  180
56.38  174
64.23  161
70.92  177
71.37  179
84.68  118


No. 2
Diffraction record for MgTi2. The XRD peak list is theoretical, not measured: it uses a cell relaxed with GGA-PBE and a wavelength of 1.5418 Å.
No peak broadening, texture or thermal motion is included.

Atomic structure:
```
data_MgTi2
_space_group_name_H-M_alt 'C 1 2/m 1'
_space_group_IT_number 12
_cell_length_a 11.5283
_cell_length_b 2.9316
_cell_length_c 6.8037
_cell_angle_alpha 90.00
_cell_angle_beta 103.39
_cell_angle_gamma 90.00
loop_
_space_group_symop_operation_xyz
'x,y,z'
'-x,-y,-z'
'-x,y,-z'
'x,-y,z'
'x+1/2,y+1/2,z'
'-x+1/2,-y+1/2,-z'
'-x+1/2,y+1/2,-z'
'x+1/2,-y+1/2,z'
loop_
_atom_site_label
_atom_site_fract_x
_atom_site_fract_y
_atom_site_fract_z
Mg1 0.0283 0.0000 0.3045
Ti1 0.1514 0.5000 0.0262
Ti2 0.2077 0.5000 0.6461
```

Most intense lines, 2θ from 10° to 90°, low angle first:
Position (°2θ)  Rel. int.
15.80  554
34.51  208
35.15  516
36.91  779
37.63  557
39.05  1000
40.66  891
40.91  488
62.25  293
71.38  233
75.74  157
77.84  212


No. 3
Diffraction record for YInGa. The XRD peak list is theoretical, not measured: it uses a cell relaxed with GGA-PBE and a wavelength of 1.5418 Å.
No peak broadening, texture or thermal motion is included.

Atomic structure:
```
data_YInGa
_space_group_name_H-M_alt 'P 3 m 1'
_space_group_IT_number 156
_cell_length_a 4.7294
_cell_length_b 4.7294
_cell_length_c 3.5830
_cell_angle_alpha 90.00
_cell_angle_beta 90.00
_cell_angle_gamma 120.00
loop_
_space_group_symop_operation_xyz
'x,y,z'
'-y,x-y,z'
'-x+y,-x,z'
'-y,-x,z'
'-x+y,y,z'
'x,x-y,z'
loop_
_atom_site_label
_atom_site_fract_x
_atom_site_fract_y
_atom_site_fract_z
Y1 0.0000 0.0000 0.0000
In1 0.6667 0.3333 0.5289
Ga1 0.3333 0.6667 0.4272
```

Most intense lines, 2θ from 10° to 90°, low angle first:
Position (°2θ)  Rel. int.
24.85  78
33.22  1000
38.05  737
45.99  90
50.98  79
51.39  282
56.03  64
65.35  218
65.71  262
68.76  123
81.39  76
84.50  72


No. 4
Diffraction record for BaCa4Cu2N4. The XRD peak list is theoretical, not measured: it uses a cell relaxed with GGA-PBE and a wavelength of 1.5418 Å.
No peak broadening, texture or thermal motion is included.

Atomic structure:
```
data_BaCa4Cu2N4
_space_group_name_H-M_alt 'P 4/n c c'
_space_group_IT_number 130
_cell_length_a 8.2823
_cell_length_b 8.2823
_cell_length_c 12.5118
_cell_angle_alpha 90.00
_cell_angle_beta 90.00
_cell_angle_gamma 90.00
loop_
_space_group_symop_operation_xyz
'x,y,z'
'-x,-y,-z'
'-y+1/2,x,z'
'y+1/2,-x,-z'
'-x+1/2,-y+1/2,z'
'x+1/2,y+1/2,-z'
'y,-x+1/2,z'
'-y,x+1/2,-z'
'x+1/2,-y,-z+1/2'
'-x+1/2,y,z+1/2'
'-y,-x,-z+1/2'
'y,x,z+1/2'
'-x,y+1/2,-z+1/2'
'x,-y+1/2,z+1/2'
'y+1/2,x+1/2,-z+1/2'
'-y+1/2,-x+1/2,z+1/2'
loop_
_atom_site_label
_atom_site_fract_x
_atom_site_fract_y
_atom_site_fract_z
Ba1 0.2500 0.2500 0.1562
Ca1 0.0836 0.6306 0.0874
Cu1 0.0973 0.5973 0.7500
N1 0.0696 0.6243 0.8970
```

Most intense lines, 2θ from 10° to 90°, low angle first:
Position (°2θ)  Rel. int.
14.16  161
17.77  607
25.07  195
28.00  630
30.54  272
32.33  827
34.24  1000
46.21  227
49.20  247
57.56  167
63.29  201
65.50  198


No. 5
Diffraction record for KBeCdO2. The XRD peak list is theoretical, not measured: it uses a cell relaxed with GGA-PBE and a wavelength of 1.5418 Å.
No peak broadening, texture or thermal motion is included.

Atomic structure:
```
data_KBeCdO2
_space_group_name_H-M_alt 'P 1 2/c 1'
_space_group_IT_number 13
_cell_length_a 6.0627
_cell_length_b 4.8658
_cell_length_c 6.7681
_cell_angle_alpha 90.00
_cell_angle_beta 91.36
_cell_angle_gamma 90.00
loop_
_space_group_symop_operation_xyz
'x,y,z'
'-x,-y,-z'
'-x,y,-z+1/2'
'x,-y,z+1/2'
loop_
_atom_site_label
_atom_site_fract_x
_atom_site_fract_y
_atom_site_fract_z
K1 0.0000 0.0605 0.2500
Be1 0.5000 0.0000 0.0000
Cd1 0.5000 0.4968 0.7500
O1 0.3208 0.2000 0.9868
```

Most intense lines, 2θ from 10° to 90°, low angle first:
Position (°2θ)  Rel. int.
14.61  682
23.45  1000
26.34  245
29.47  276
32.23  192
35.28  464
35.82  428
39.44  181
40.43  174
45.95  208
47.95  188
48.81  157


No. 6
Diffraction record for Sr2Cr2Re. The XRD peak list is theoretical, not measured: it uses a cell relaxed with GGA-PBE and a wavelength of 1.5418 Å.
No peak broadening, texture or thermal motion is included.

Atomic structure:
```
data_Sr2Cr2Re
_space_group_name_H-M_alt 'P 4/m b m'
_space_group_IT_number 127
_space_group_name_Hall '-P 4 2ab'
_cell_length_a 8.6250
_cell_length_b 8.6250
_cell_length_c 3.1028
_cell_angle_alpha 90.00
_cell_angle_beta 90.00
_cell_angle_gamma 90.00
loop_
_atom_site_label
_atom_site_fract_x
_atom_site_fract_y
_atom_site_fract_z
Sr1 0.2140 0.2860 0.0000
Cr1 0.0726 0.5726 0.5000
Re1 0.0000 0.0000 0.5000
```

Most intense lines, 2θ from 10° to 90°, low angle first:
Position (°2θ)  Rel. int.
14.52  177
29.29  681
32.84  265
35.65  1000
37.19  135
41.90  136
43.25  112
44.21  130
53.92  114
56.15  231
62.54  181
67.77  122


No. 7
Diffraction record for NiMoIr3. The XRD peak list is theoretical, not measured: it uses a cell relaxed with GGA-PBE and a wavelength of 1.5418 Å.
No peak broadening, texture or thermal motion is included.

Atomic structure:
```
data_NiMoIr3
_space_group_name_H-M_alt 'P n n a'
_space_group_IT_number 52
_cell_length_a 11.9520
_cell_length_b 4.9474
_cell_length_c 4.9578
_cell_angle_alpha 90.00
_cell_angle_beta 90.00
_cell_angle_gamma 90.00
loop_
_space_group_symop_operation_xyz
'x,y,z'
'-x,-y,-z'
'-x+1/2,-y,z'
'x+1/2,y,-z'
'x,-y+1/2,-z+1/2'
'-x,y+1/2,z+1/2'
'-x+1/2,y+1/2,-z+1/2'
'x+1/2,-y+1/2,z+1/2'
loop_
_atom_site_label
_atom_site_fract_x
_atom_site_fract_y
_atom_site_fract_z
Ni1 0.0428 0.2500 0.2500
Mo1 0.2500 0.0000 0.1257
Ir1 0.0433 0.7500 0.2500
Ir2 0.1446 0.0002 0.6304
```

Most intense lines, 2θ from 10° to 90°, low angle first:
Position (°2θ)  Rel. int.
25.43  312
26.52  223
36.27  227
39.41  596
39.65  488
41.45  1000
41.96  827
46.96  469
47.73  224
68.83  176
80.66  273
85.19  214


No. 8
Diffraction record for Cs2MnRu. The XRD peak list is theoretical, not measured: it uses a cell relaxed with GGA-PBE and a wavelength of 1.5418 Å.
No peak broadening, texture or thermal motion is included.

Atomic structure:
```
data_Cs2MnRu
_space_group_name_H-M_alt 'F m -3 m'
_space_group_IT_number 225
_space_group_name_Hall '-F 4 2 3'
_cell_length_a 8.6206
_cell_length_b 8.6206
_cell_length_c 8.6206
_cell_angle_alpha 90.00
_cell_angle_beta 90.00
_cell_angle_gamma 90.00
loop_
_atom_site_label
_atom_site_fract_x
_atom_site_fract_y
_atom_site_fract_z
Cs1 0.2500 0.2500 0.2500
Mn1 0.0000 0.0000 0.0000
Ru1 0.0000 0.0000 0.5000
```

Most intense lines, 2θ from 10° to 90°, low angle first:
Position (°2θ)  Rel. int.
17.82  28
20.61  65
29.30  1000
34.51  16
36.09  21
41.92  184
47.15  30
51.97  389
60.78  121
68.89  165
76.57  41
84.01  194


No. 9
Diffraction record for CeSc3. The XRD peak list is theoretical, not measured: it uses a cell relaxed with GGA-PBE and a wavelength of 1.5418 Å.
No peak broadening, texture or thermal motion is included.

Atomic structure:
```
data_CeSc3
_space_group_name_H-M_alt 'I m m a'
_space_group_IT_number 74
_space_group_name_Hall '-I 2b 2'
_cell_length_a 5.2739
_cell_length_b 14.3921
_cell_length_c 5.4741
_cell_angle_alpha 90.00
_cell_angle_beta 90.00
_cell_angle_gamma 90.00
loop_
_atom_site_label
_atom_site_fract_x
_atom_site_fract_y
_atom_site_fract_z
Ce1 0.0000 0.0000 0.0000
Sc1 0.0000 0.1362 0.4458
Sc2 0.0000 0.2500 0.9364
```

Most intense lines, 2θ from 10° to 90°, low angle first:
Position (°2θ)  Rel. int.
12.30  254
23.42  175
24.73  100
26.54  341
32.72  240
34.00  281
34.33  1000
37.52  112
47.90  159
54.70  108
59.44  115
61.06  175


No. 10
Diffraction record for Sm5Ag2Pt2. The XRD peak list is theoretical, not measured: it uses a cell relaxed with GGA-PBE and a wavelength of 1.5418 Å.
No peak broadening, texture or thermal motion is included.

Atomic structure:
```
data_Sm5Ag2Pt2
_space_group_name_H-M_alt 'C m c e'
_space_group_IT_number 64
_space_group_name_Hall '-C 2ac 2'
_cell_length_a 15.7348
_cell_length_b 7.5766
_cell_length_c 7.9871
_cell_angle_alpha 90.00
_cell_angle_beta 90.00
_cell_angle_gamma 90.00
loop_
_atom_site_label
_atom_site_fract_x
_atom_site_fract_y
_atom_site_fract_z
Sm1 0.0000 0.0000 0.0000
Sm2 0.1279 0.1692 0.3253
Ag1 0.2105 0.0000 0.0000
Pt1 0.0000 0.1304 0.6314
```

Most intense lines, 2θ from 10° to 90°, low angle first:
Position (°2θ)  Rel. int.
11.25  633
28.44  276
30.51  929
31.93  409
32.58  350
32.81  504
34.74  1000
36.22  621
37.79  526
38.30  434
43.49  179
46.18  349


No. 11
Diffraction record for AcTaNbGe2. The XRD peak list is theoretical, not measured: it uses a cell relaxed with GGA-PBE and a wavelength of 1.5418 Å.
No peak broadening, texture or thermal motion is included.

Atomic structure:
```
data_AcTaNbGe2
_space_group_name_H-M_alt 'I -4 m 2'
_space_group_IT_number 119
_space_group_name_Hall 'I -4 -2'
_cell_length_a 4.2040
_cell_length_b 4.2040
_cell_length_c 12.4595
_cell_angle_alpha 90.00
_cell_angle_beta 90.00
_cell_angle_gamma 90.00
loop_
_atom_site_label
_atom_site_fract_x
_atom_site_fract_y
_atom_site_fract_z
Ac1 0.0000 0.0000 0.0000
Ta1 0.0000 0.5000 0.2500
Nb1 0.0000 0.5000 0.7500
Ge1 0.0000 0.0000 0.3879
```

Most intense lines, 2θ from 10° to 90°, low angle first:
Position (°2θ)  Rel. int.
22.32  174
28.66  170
30.25  459
33.40  1000
42.16  270
43.03  386
52.52  131
53.50  191
53.85  175
61.82  176
72.73  214
76.06  131


No. 12
Diffraction record for Pm3BeSe6. The XRD peak list is theoretical, not measured: it uses a cell relaxed with GGA-PBE and a wavelength of 1.5418 Å.
No peak broadening, texture or thermal motion is included.

Atomic structure:
```
data_Pm3BeSe6
_space_group_name_H-M_alt 'C m c 21'
_space_group_IT_number 36
_cell_length_a 11.7265
_cell_length_b 14.4947
_cell_length_c 6.3594
_cell_angle_alpha 90.00
_cell_angle_beta 90.00
_cell_angle_gamma 90.00
loop_
_space_group_symop_operation_xyz
'x,y,z'
'-x,-y,z+1/2'
'-x,y,z'
'x,-y,z+1/2'
'x+1/2,y+1/2,z'
'-x+1/2,-y+1/2,z+1/2'
'-x+1/2,y+1/2,z'
'x+1/2,-y+1/2,z+1/2'
loop_
_atom_site_label
_atom_site_fract_x
_atom_site_fract_y
_atom_site_fract_z
Pm1 0.0000 0.1257 0.0000
Pm2 0.1722 0.3925 0.9186
Be1 0.0000 0.3042 0.3604
Se1 0.0000 0.2819 0.7068
Se2 0.0000 0.4521 0.2442
Se3 0.1586 0.0134 0.7003
Se4 0.1604 0.2425 0.2257
```

Most intense lines, 2θ from 10° to 90°, low angle first:
Position (°2θ)  Rel. int.
17.00  634
24.02  1000
24.35  466
29.39  406
32.66  943
35.94  247
36.97  964
37.64  876
38.67  610
46.46  355
61.27  399
67.62  264